[1]
For Pr2Y2CBr5, a cell relaxed with PBE gives the theoretical PXRD pattern in this record (λ = 1.5418 Å (Cu Kα)).
Intensities are scaled so that the largest is 100.

The 10 most intense peaks (15° ≤ 2θ ≤ 90°), by intensity:
| d_spacing | 2theta | I/Imax |
| --- | --- | --- |
| 2.818 | 31.75 | 100 |
| 2.932 | 30.49 | 50 |
| 2.026 | 44.74 | 31 |
| 2.866 | 31.21 | 29 |
| 2.038 | 44.46 | 28 |
| 3.137 | 28.45 | 24 |
| 1.932 | 47.05 | 18 |
| 2.566 | 34.97 | 17 |
| 2.401 | 37.45 | 17 |
| 1.613 | 57.10 | 16 |

Crystal structure
Cell lengths 9.2555, 9.2555, 8.2395 Å; angles 103.35, 103.35, 24.09 degrees
Sites, in units of the cell vectors:
Pr: 0.1446 0.1446 0.0771
Pr: 0.8554 0.8554 0.9229
Y: 0.4996 0.4996 0.2004
Y: 0.5004 0.5004 0.7996
C: 0.0000 0.0000 0.0000
Br: 0.0000 0.0000 0.5000
Br: 0.3346 0.3346 0.1905
Br: 0.3396 0.3396 0.6429
Br: 0.6604 0.6604 0.3571
Br: 0.6654 0.6654 0.8095

---

[2]
For Cs4RbReO6, a cell relaxed with PBE gives the theoretical PXRD pattern in this record (λ = 1.5418 Å (Cu Kα)).
Intensities are scaled so that the largest is 100.

The 10 most intense peaks (15° ≤ 2θ ≤ 90°), by intensity:
| d_spacing | 2theta | I/Imax |
| --- | --- | --- |
| 2.771 | 32.31 | 100 |
| 3.258 | 27.38 | 77 |
| 3.197 | 27.91 | 36 |
| 3.094 | 28.86 | 33 |
| 1.985 | 45.71 | 22 |
| 1.935 | 46.95 | 21 |
| 1.687 | 54.38 | 20 |
| 1.703 | 53.82 | 14 |
| 1.680 | 54.63 | 13 |
| 1.662 | 55.29 | 12 |

Crystal structure
Cell lengths 6.9410, 6.9410, 6.6259 Å; angles 100.16, 100.16, 120.91 degrees
Sites, in units of the cell vectors:
Cs: 0.1648 0.8352 0.0000
Cs: 0.3329 0.6671 0.5000
Cs: 0.6671 0.3329 0.5000
Cs: 0.8352 0.1648 0.0000
Rb: 0.5000 0.5000 0.0000
Re: 0.0000 0.0000 0.5000
O: 0.0657 0.2894 0.6812
O: 0.1679 0.1679 0.3197
O: 0.2894 0.0657 0.6812
O: 0.7106 0.9343 0.3188
O: 0.8321 0.8321 0.6803
O: 0.9343 0.7106 0.3188

---

[3]
For Hg5Se2O8, a cell relaxed with PBE gives the theoretical PXRD pattern in this record (λ = 1.5418 Å (Cu Kα)).
Intensities are scaled so that the largest is 100.

The 10 most intense peaks (15° ≤ 2θ ≤ 90°), by intensity:
| d_spacing | 2theta | I/Imax |
| --- | --- | --- |
| 2.800 | 31.96 | 100 |
| 2.789 | 32.09 | 59 |
| 2.903 | 30.81 | 53 |
| 4.724 | 18.79 | 53 |
| 3.670 | 24.25 | 46 |
| 3.686 | 24.15 | 44 |
| 1.723 | 53.17 | 35 |
| 2.813 | 31.81 | 35 |
| 5.862 | 15.11 | 27 |
| 3.239 | 27.54 | 27 |

Crystal structure
Cell lengths 9.3279, 9.3279, 18.8956 Å; angles 90.69, 90.69, 38.94 degrees
Sites, in units of the cell vectors:
Hg: 0.0138 0.4893 0.2533
Hg: 0.0633 0.2778 0.5380
Hg: 0.0659 0.0709 0.2744
Hg: 0.0709 0.0659 0.7744
Hg: 0.1407 0.3159 0.9293
Hg: 0.1772 0.7793 0.9963
Hg: 0.2207 0.8228 0.5037
Hg: 0.2778 0.0633 0.0380
Hg: 0.3159 0.1407 0.4293
Hg: 0.4893 0.0138 0.7533
Hg: 0.5107 0.9862 0.2467
Hg: 0.6841 0.8593 0.5707
Hg: 0.7222 0.9367 0.9620
Hg: 0.7793 0.1772 0.4963
Hg: 0.8228 0.2207 0.0037
Hg: 0.8593 0.6841 0.0707
Hg: 0.9291 0.9341 0.2256
Hg: 0.9341 0.9291 0.7256
Hg: 0.9367 0.7222 0.4620
Hg: 0.9862 0.5107 0.7467
Se: 0.3805 0.3948 0.6415
Se: 0.3948 0.3805 0.1415
Se: 0.3994 0.4136 0.8696
Se: 0.4136 0.3994 0.3696
Se: 0.5864 0.6006 0.6304
Se: 0.6006 0.5864 0.1304
Se: 0.6052 0.6195 0.8585
Se: 0.6195 0.6052 0.3585
O: 0.1200 0.5989 0.3613
O: 0.1386 0.5287 0.8688
O: 0.1767 0.2062 0.8004
O: 0.1919 0.6609 0.6119
O: 0.2062 0.1767 0.3004
O: 0.2344 0.6496 0.1228
O: 0.2679 0.3313 0.1074
O: 0.3313 0.2679 0.6073
O: 0.3391 0.8081 0.8881
O: 0.3504 0.7656 0.3772
O: 0.3531 0.4044 0.7298
O: 0.4011 0.8800 0.1387
O: 0.4044 0.3531 0.2298
O: 0.4150 0.4319 0.4613
O: 0.4319 0.4150 0.9613
O: 0.4713 0.8614 0.6312
O: 0.5287 0.1386 0.3688
O: 0.5681 0.5850 0.0387
O: 0.5850 0.5681 0.5387
O: 0.5956 0.6469 0.7702
O: 0.5989 0.1200 0.8613
O: 0.6469 0.5956 0.2702
O: 0.6496 0.2344 0.6228
O: 0.6609 0.1919 0.1119
O: 0.6687 0.7321 0.3926
O: 0.7321 0.6687 0.8926
O: 0.7656 0.3504 0.8772
O: 0.7938 0.8233 0.6996
O: 0.8081 0.3391 0.3881
O: 0.8233 0.7938 0.1996
O: 0.8614 0.4713 0.1312
O: 0.8800 0.4011 0.6387

---

[4]
For Zr2CdCo, a cell relaxed with PBE gives the theoretical PXRD pattern in this record (λ = 1.5418 Å (Cu Kα)).
Intensities are scaled so that the largest is 100.

The 10 most intense peaks (15° ≤ 2θ ≤ 90°), by intensity:
| d_spacing | 2theta | I/Imax |
| --- | --- | --- |
| 2.349 | 38.32 | 100 |
| 1.356 | 69.29 | 32 |
| 1.661 | 55.31 | 16 |
| 1.174 | 82.06 | 10 |
| 3.322 | 26.84 | 3 |
| 3.836 | 23.19 | 3 |
| 2.003 | 45.27 | 1 |
| 1.485 | 62.53 | 1 |
| 1.918 | 47.41 | 1 |
| 1.524 | 60.77 | 1 |

Crystal structure
Cell lengths 4.6975, 4.6975, 4.6975 Å; angles 60.00, 60.00, 60.00 degrees
Sites, in units of the cell vectors:
Zr: 0.0000 0.0000 0.0000
Zr: 0.2500 0.2500 0.2500
Cd: 0.5000 0.5000 0.5000
Co: 0.7500 0.7500 0.7500

---

[5]
For Li3LaPr2Pb3, a cell relaxed with PBE gives the theoretical PXRD pattern in this record (λ = 1.5418 Å (Cu Kα)).
Intensities are scaled so that the largest is 100.

The 10 most intense peaks (15° ≤ 2θ ≤ 90°), by intensity:
| d_spacing | 2theta | I/Imax |
| --- | --- | --- |
| 2.869 | 31.17 | 100 |
| 2.430 | 36.99 | 62 |
| 3.963 | 22.44 | 43 |
| 3.423 | 26.03 | 40 |
| 1.854 | 49.13 | 29 |
| 1.526 | 60.69 | 28 |
| 1.474 | 63.06 | 27 |
| 2.054 | 44.10 | 12 |
| 1.119 | 87.11 | 12 |
| 1.141 | 85.01 | 11 |

Crystal structure
Cell lengths 4.8600, 4.8600, 11.7642 Å; angles 90.00, 90.00, 120.00 degrees
Sites, in units of the cell vectors:
Li: 0.0000 0.0000 0.0000
Li: 0.6667 0.3333 0.3069
Li: 0.6667 0.3333 0.6931
La: 0.3333 0.6667 0.5000
Pr: 0.3333 0.6667 0.1627
Pr: 0.3333 0.6667 0.8373
Pb: 0.0000 0.0000 0.3242
Pb: 0.0000 0.0000 0.6758
Pb: 0.6667 0.3333 0.0000

---

[6]
For AgPO2F2, a cell relaxed with PBE gives the theoretical PXRD pattern in this record (λ = 1.5418 Å (Cu Kα)).
Intensities are scaled so that the largest is 100.

The 10 most intense peaks (15° ≤ 2θ ≤ 90°), by intensity:
| d_spacing | 2theta | I/Imax |
| --- | --- | --- |
| 2.904 | 30.79 | 100 |
| 3.855 | 23.07 | 50 |
| 3.335 | 26.73 | 46 |
| 2.816 | 31.78 | 45 |
| 2.199 | 41.05 | 34 |
| 3.014 | 29.64 | 30 |
| 2.357 | 38.17 | 29 |
| 2.577 | 34.81 | 24 |
| 1.733 | 52.82 | 24 |
| 1.767 | 51.73 | 23 |

Crystal structure
Cell lengths 6.0971, 3.3493, 6.9416 Å; angles 90.00, 107.05, 90.00 degrees
Sites, in units of the cell vectors:
Ag: 0.1670 0.2500 0.3507
Ag: 0.8330 0.7500 0.6493
P: 0.3441 0.2500 0.8565
P: 0.6559 0.7500 0.1435
O: 0.1377 0.2500 0.6675
O: 0.4092 0.7500 0.9145
O: 0.5908 0.2500 0.0855
O: 0.8623 0.7500 0.3325
F: 0.1808 0.2500 0.0093
F: 0.4639 0.7500 0.2746
F: 0.5361 0.2500 0.7254
F: 0.8192 0.7500 0.9907

---

[7]
For Li3Tb2DyPb3, a cell relaxed with PBE gives the theoretical PXRD pattern in this record (λ = 1.5418 Å (Cu Kα)).
Intensities are scaled so that the largest is 100.

The 10 most intense peaks (15° ≤ 2θ ≤ 90°), by intensity:
| d_spacing | 2theta | I/Imax |
| --- | --- | --- |
| 2.729 | 32.82 | 100 |
| 2.397 | 37.53 | 66 |
| 3.878 | 22.93 | 42 |
| 3.298 | 27.03 | 33 |
| 1.801 | 50.69 | 30 |
| 1.440 | 64.75 | 29 |
| 1.445 | 64.50 | 27 |
| 1.097 | 89.27 | 13 |
| 4.151 | 21.40 | 13 |
| 1.099 | 89.04 | 12 |

Crystal structure
Cell lengths 4.7936, 4.7936, 10.8638 Å; angles 90.00, 90.00, 120.00 degrees
Sites, in units of the cell vectors:
Li: 0.0000 0.0000 0.0000
Li: 0.3333 0.6667 0.3108
Li: 0.3333 0.6667 0.6892
Tb: 0.6667 0.3333 0.1652
Tb: 0.6667 0.3333 0.8348
Dy: 0.6667 0.3333 0.5000
Pb: 0.0000 0.0000 0.3289
Pb: 0.0000 0.0000 0.6711
Pb: 0.3333 0.6667 0.0000

---

[8]
For KPuAgTeSe2, a cell relaxed with PBE gives the theoretical PXRD pattern in this record (λ = 1.5418 Å (Cu Kα)).
Intensities are scaled so that the largest is 100.

The 10 most intense peaks (15° ≤ 2θ ≤ 90°), by intensity:
| d_spacing | 2theta | I/Imax |
| --- | --- | --- |
| 2.959 | 30.21 | 100 |
| 2.683 | 33.39 | 83 |
| 3.020 | 29.58 | 79 |
| 2.149 | 42.05 | 72 |
| 3.323 | 26.83 | 60 |
| 2.120 | 42.65 | 46 |
| 3.772 | 23.59 | 45 |
| 2.386 | 37.69 | 43 |
| 2.005 | 45.22 | 42 |
| 2.804 | 31.91 | 37 |

Crystal structure
Cell lengths 8.6646, 4.2399, 10.4563 Å; angles 90.00, 107.55, 90.00 degrees
Sites, in units of the cell vectors:
K: 0.2192 0.2500 0.2469
K: 0.7808 0.7500 0.7531
Pu: 0.3199 0.7500 0.8533
Pu: 0.6801 0.2500 0.1467
Ag: 0.0754 0.2500 0.5956
Ag: 0.9246 0.7500 0.4044
Te: 0.2688 0.7500 0.5471
Te: 0.7312 0.2500 0.4529
Se: 0.1028 0.2500 0.8587
Se: 0.4537 0.7500 0.1365
Se: 0.5463 0.2500 0.8635
Se: 0.8972 0.7500 0.1413